The following is a computed XRD peak list of Li3Fe3O8. It was derived from the PBE+U geometry in the Materials Project, using CuKα.
Intensities are scaled so that the largest is 1000.

Most intense lines, 5 to 70 degrees two-theta, by intensity:
| two_theta | Rel. int. |
| --- | --- |
| 18.4 | 1000 |
| 43.8 | 304 |
| 36.0 | 174 |
| 42.9 | 161 |
| 36.0 | 108 |
| 57.9 | 105 |
| 35.5 | 101 |
| 63.7 | 88 |
| 62.9 | 87 |
| 21.5 | 77 |

Structure:
```
data_Li3Fe3O8
_chemical_formula_sum 'Li6 Fe6 O16'
_symmetry_space_group_name_H-M 'P 1'
_symmetry_Int_Tables_number 1
_symmetry_space_group_name_Hall 'P 1'
_cell_length_a 5.842
_cell_length_b 5.912
_cell_length_c 10.139
_cell_angle_alpha 89.52
_cell_angle_beta 73.35
_cell_angle_gamma 60.40
loop_
_atom_site_label
_atom_site_type_symbol
_atom_site_fract_x
_atom_site_fract_y
_atom_site_fract_z
_atom_site_occupancy
Li1 Li 0.000 0.000 0.000 1
Li2 Li 0.000 0.500 0.500 1
Li3 Li 0.383 0.031 0.188 1
Li4 Li 0.397 0.535 0.689 1
Li5 Li 0.604 0.466 0.311 1
Li6 Li 0.618 0.969 0.812 1
Fe1 Fe 0.000 0.001 0.500 1
Fe2 Fe 0.000 0.500 0.000 1
Fe3 Fe 0.004 0.256 0.750 1
Fe4 Fe 0.500 0.000 0.500 1
Fe5 Fe 0.500 0.500 0.000 1
Fe6 Fe 0.996 0.745 0.250 1
O1 O 0.198 0.669 0.375 1
O2 O 0.207 0.171 0.878 1
O3 O 0.224 0.383 0.117 1
O4 O 0.244 0.610 0.896 1
O5 O 0.248 0.109 0.396 1
O6 O 0.251 0.823 0.122 1
O7 O 0.261 0.329 0.619 1
O8 O 0.272 0.886 0.616 1
O9 O 0.728 0.115 0.385 1
O10 O 0.739 0.671 0.381 1
O11 O 0.749 0.177 0.878 1
O12 O 0.752 0.892 0.604 1
O13 O 0.756 0.390 0.104 1
O14 O 0.776 0.617 0.883 1
O15 O 0.793 0.829 0.122 1
O16 O 0.803 0.332 0.625 1
```